Entry 1:
LaCeSO2: simulated X-ray powder pattern (λ = 1.5418 Å (Cu Kα)), based on a cell relaxed with PBE.

Crystal structure
Lattice parameters (Å, degrees): 6.823 6.823 6.823 146.57 146.57 48.00
Sites, in units of the cell vectors:
La  0.000  0.000  0.000
Ce  0.705  0.705  0.000
S  0.354  0.354  0.000
O  0.106  0.606  0.500
O  0.606  0.106  0.500

Peak list (10 most intense, 2θ = 15–90°, by angle)
d (Å)  2θ/deg  Rel. int.
3.743  23.77  40
2.853  31.35  100
2.775  32.26  41
2.072  43.68  25
1.962  46.27  23
1.662  55.26  24
1.622  56.77  12
1.617  56.96  36
1.250  76.16  10
1.153  83.90  10



Entry 2:
La3CeSn2O: simulated X-ray powder pattern (λ = 1.5418 Å (Cu Kα)), based on a cell relaxed with PBE.

Crystal structure
Lattice parameters (Å, degrees): 9.408 9.408 9.408 150.53 150.03 42.53
Sites, in units of the cell vectors:
La  0.000  0.000  0.000
La  0.327  0.827  0.500
La  0.673  0.173  0.500
Ce  0.500  0.500  0.000
Sn  0.137  0.637  0.500
Sn  0.863  0.363  0.500
O  0.500  0.000  0.500

Peak list (10 most intense, 2θ = 15–90°, by angle)
d (Å)  2θ/deg  Rel. int.
3.179  28.07  93
2.922  30.59  41
2.692  33.28  100
2.432  36.96  36
2.393  37.59  34
1.869  48.71  22
1.851  49.22  21
1.706  53.74  25
1.473  63.12  22
1.449  64.27  18



Entry 3:
LaCeTeO2: simulated X-ray powder pattern (λ = 1.5418 Å (Cu Kα)), based on a cell relaxed with PBE.

Crystal structure
Lattice parameters (Å, degrees): 7.146 7.146 7.146 146.76 146.76 47.72
Sites, in units of the cell vectors:
La  0.000  0.000  0.000
Ce  0.684  0.684  0.000
Te  0.341  0.341  0.000
O  0.095  0.595  0.500
O  0.595  0.095  0.500

Peak list (10 most intense, 2θ = 15–90°, by angle)
d (Å)  2θ/deg  Rel. int.
2.981  29.97  100
2.891  30.93  39
2.179  41.45  8
2.044  44.31  20
1.740  52.60  22
1.686  54.42  37
1.491  62.29  10
1.137  85.36  9
1.112  87.80  10
1.097  89.27  9



Entry 4:
LaCe2UO8: simulated X-ray powder pattern (λ = 1.5418 Å (Cu Kα)), based on a cell relaxed with PBE.

Crystal structure
Lattice parameters (Å, degrees): 3.967 5.498 7.626 90.00 90.00 90.00
Sites, in units of the cell vectors:
La  0.000  0.000  0.000
Ce  0.500  0.500  0.251
Ce  0.500  0.500  0.749
U  0.000  0.000  0.500
O  0.000  0.246  0.276
O  0.000  0.246  0.724
O  0.000  0.754  0.276
O  0.000  0.754  0.724
O  0.500  0.233  0.500
O  0.500  0.264  0.000
O  0.500  0.736  0.000
O  0.500  0.767  0.500

Peak list (10 most intense, 2θ = 15–90°, by angle)
d (Å)  2θ/deg  Rel. int.
3.217  27.73  100
3.133  28.49  93
2.749  32.57  62
1.984  45.74  18
1.944  46.73  67
1.906  47.70  16
1.676  54.77  30
1.640  56.07  28
1.375  68.23  15
1.229  77.67  17